Record 1
Computed XRD peak list
Compound: NaAsAu2O6
Radiation: Cu Kα (weighted mean of Kα1 and Kα2)
Structure: a GGA-PBE-relaxed structure

Main lines, low angle first (2θ = 10–90°):
Position (°2θ), d [Å], intensity
13.22, 6.695, 73
17.12, 5.179, 100
23.95, 3.715, 21
25.49, 3.495, 28
27.77, 3.213, 44
29.30, 3.048, 27
31.79, 2.815, 42
33.03, 2.712, 32
35.93, 2.500, 23
38.42, 2.343, 26
44.89, 2.019, 27
48.73, 1.869, 22

abc: 8.9743 10.3586 7.5996
angles: 90.00 102.11 90.00
Space group C2/c (No. 15)
Asymmetric unit:
Na: 0.0000 0.1952 0.2500 (multiplicity 4)
As: 0.0000 0.1220 0.7500 (multiplicity 4)
Au: 0.1369 0.4832 0.1603 (multiplicity 8)
O: 0.0206 0.2070 0.9416 (multiplicity 8)
O: 0.0970 0.4392 0.4056 (multiplicity 8)
O: 0.1394 0.0069 0.2593 (multiplicity 8)


Record 2
Computed XRD peak list
Compound: Na2AsAuS4
Radiation: Cu Kα (weighted mean of Kα1 and Kα2)
Structure: a GGA-PBE-relaxed structure

Main lines, low angle first (2θ = 10–90°):
Position (°2θ), d [Å], intensity
16.52, 5.365, 96
26.41, 3.375, 100
28.56, 3.125, 15
29.34, 3.044, 17
33.18, 2.700, 27
40.84, 2.210, 22
41.41, 2.181, 21
45.22, 2.005, 35
49.29, 1.849, 33
53.59, 1.710, 12
56.79, 1.621, 11
72.28, 1.307, 13

abc: 6.2492 6.2515 6.8446
angles: 117.16 117.15 90.02
Space group P1 (No. 1)
Asymmetric unit:
Na: 0.0000 0.0000 0.0000 (multiplicity 1)
Na: 0.2505 0.7501 0.5000 (multiplicity 1)
As: 0.7501 0.2502 0.5003 (multiplicity 1)
Au: 0.4994 0.5010 0.0006 (multiplicity 1)
S: 0.0924 0.5604 0.7373 (multiplicity 1)
S: 0.4398 0.3549 0.2626 (multiplicity 1)
S: 0.6453 0.1782 0.7382 (multiplicity 1)
S: 0.8228 0.9079 0.2629 (multiplicity 1)


Record 3
Computed XRD peak list
Compound: NaTe4As2Au
Radiation: Cu Kα (weighted mean of Kα1 and Kα2)
Structure: a GGA-PBE-relaxed structure

Main lines, low angle first (2θ = 10–90°):
Position (°2θ), d [Å], intensity
14.84, 5.970, 100
26.87, 3.318, 41
27.28, 3.270, 33
29.94, 2.985, 72
30.48, 2.933, 96
33.84, 2.649, 30
34.28, 2.616, 59
40.57, 2.224, 46
41.03, 2.200, 41
43.59, 2.076, 41
45.71, 1.985, 33
46.97, 1.934, 44

abc: 6.7345 8.3112 8.5804
angles: 90.00 90.00 90.00
Space group I222 (No. 23)
Asymmetric unit:
Na: 0.0000 0.0000 0.0000 (multiplicity 2)
Te: 0.1704 0.2042 0.2789 (multiplicity 8)
As: 0.0000 0.5000 0.1528 (multiplicity 4)
Au: 0.0000 0.0000 0.5000 (multiplicity 2)


Record 4
Computed XRD peak list
Compound: Nd10As8Au3O10
Radiation: Cu Kα (weighted mean of Kα1 and Kα2)
Structure: a GGA-PBE-relaxed structure

Main lines, low angle first (2θ = 10–90°):
Position (°2θ), d [Å], intensity
22.28, 3.990, 13
24.10, 3.693, 10
28.14, 3.171, 100
32.88, 2.724, 44
36.49, 2.462, 26
39.25, 2.296, 28
43.68, 2.072, 40
52.78, 1.735, 29
58.19, 1.585, 27
59.14, 1.562, 16
60.68, 1.526, 10
63.49, 1.465, 10

abc: 9.2668 9.2668 14.7728
angles: 90.00 90.00 90.00
Space group I4/m (No. 87)
Asymmetric unit:
Nd: 0.0000 0.0000 0.1633 (multiplicity 4)
Nd: 0.0996 0.7050 0.3249 (multiplicity 16)
As: 0.0921 0.2319 0.0000 (multiplicity 8)
As: 0.1292 0.2482 0.5000 (multiplicity 8)
Au: 0.0000 0.0000 0.5000 (multiplicity 2)
Au: 0.0000 0.5000 0.0000 (multiplicity 4)
O: 0.0000 0.5000 0.2500 (multiplicity 4)
O: 0.1005 0.1974 0.2460 (multiplicity 16)


Record 5
Computed XRD peak list
Compound: Ni2AsAu4
Radiation: Cu Kα (weighted mean of Kα1 and Kα2)
Structure: a GGA-PBE-relaxed structure

Main lines, low angle first (2θ = 10–90°):
Position (°2θ), d [Å], intensity
14.21, 6.231, 14
28.65, 3.115, 23
29.64, 3.014, 100
36.91, 2.435, 77
40.67, 2.219, 42
47.38, 1.919, 24
53.19, 1.722, 27
56.08, 1.640, 32
61.53, 1.507, 11
62.08, 1.495, 26
80.96, 1.188, 11
88.05, 1.109, 13

abc: 4.8703 4.8703 12.4612
angles: 90.00 90.00 90.00
Space group I4/mmm (No. 139)
Asymmetric unit:
Ni: 0.0000 0.0000 0.0950 (multiplicity 4)
As: 0.0000 0.0000 0.5000 (multiplicity 2)
Au: 0.0000 0.0000 0.2944 (multiplicity 4)
Au: 0.0000 0.5000 0.0000 (multiplicity 4)


Record 6
Computed XRD peak list
Compound: Np2As4Au
Radiation: Cu Kα (weighted mean of Kα1 and Kα2)
Structure: a GGA-PBE-relaxed structure

Main lines, low angle first (2θ = 10–90°):
Position (°2θ), d [Å], intensity
24.32, 3.660, 41
29.17, 3.061, 15
35.93, 2.499, 22
37.15, 2.420, 100
43.88, 2.063, 9
45.90, 1.977, 26
52.64, 1.739, 22
59.63, 1.550, 11
60.48, 1.531, 15
66.96, 1.397, 16
72.41, 1.305, 16
79.12, 1.210, 28

abc: 3.9539 3.9539 9.6751
angles: 90.00 90.00 90.00
Space group P-4m2 (No. 115)
Asymmetric unit:
Np: 0.0000 0.5000 0.2366 (multiplicity 2)
As: 0.0000 0.0000 0.0000 (multiplicity 1)
As: 0.0000 0.5000 0.6836 (multiplicity 2)
As: 0.5000 0.5000 0.0000 (multiplicity 1)
Au: 0.0000 0.0000 0.5000 (multiplicity 1)


Q: What is the formula in the second record?
A: Na2AsAuS4